No. 1
Diffraction record for SrCeEuNbO6. The X-ray powder pattern is simulated, not measured: it uses a DFT-relaxed cell (PBE, Alexandria) and a wavelength of 1.5418 Å.
Neutral-atom scattering factors, no anomalous dispersion.

Top 10 peaks for 2θ = 10–80°, sorted by position:
two_theta  d/Å  I_rel
18.20  4.875  9
29.74  3.004  100
30.30  2.949  57
41.73  2.165  17
43.39  2.086  27
52.43  1.745  24
53.49  1.713  46
61.77  1.502  18
68.84  1.364  10
71.53  1.319  11

Structural model:
```
20
Lattice="5.899 0.000 0.000 0.000 5.899 0.000 0.000 0.000 8.659" Properties=species:S:1:pos:R:3 pbc="T T T"
Sr 0.000 2.949 2.165
Sr 2.949 0.000 6.494
Ce 0.000 0.000 4.329
Ce 2.949 2.949 0.000
Eu 0.000 2.949 6.494
Eu 2.949 0.000 2.165
Nb 0.000 0.000 0.000
Nb 2.949 2.949 4.329
O 0.000 0.000 2.056
O 0.000 0.000 6.603
O 0.954 1.804 8.637
O 1.146 1.995 4.351
O 1.804 4.944 0.022
O 1.995 4.753 4.307
O 2.949 2.949 2.274
O 2.949 2.949 6.385
O 3.904 1.146 4.307
O 4.095 0.954 0.022
O 4.753 3.904 4.351
O 4.944 4.095 8.637
```

No. 2
Diffraction record for Th2In2C. The X-ray powder pattern is simulated, not measured: it uses a DFT-relaxed cell (PBE, Alexandria) and a wavelength of 1.5418 Å.
Neutral-atom scattering factors, no anomalous dispersion.

Top 10 peaks for 2θ = 10–80°, sorted by position:
two_theta  d/Å  I_rel
26.45  3.369  41
29.18  3.061  100
31.54  2.836  67
37.36  2.407  35
40.48  2.228  45
49.01  1.859  16
52.20  1.752  33
56.26  1.635  21
58.58  1.576  15
66.77  1.401  20

Structural model:
```
10
Lattice="-2.228 2.228 12.869 2.228 -2.228 12.869 2.228 2.228 -12.869" Properties=species:S:1:pos:R:3 pbc="T T T"
Th 2.228 1.114 -4.280
Th 0.000 1.114 2.155
Th 2.228 1.114 10.715
Th 0.000 1.114 17.149
In 2.228 1.114 -0.866
In 0.000 1.114 5.569
In 2.228 1.114 7.300
In 0.000 1.114 13.735
C 2.228 -1.114 9.652
C 0.000 3.343 3.217
```

No. 3
Diffraction record for Pm8Ni3IrBr4. The X-ray powder pattern is simulated, not measured: it uses a DFT-relaxed cell (PBE, Alexandria) and a wavelength of 1.5418 Å.
Neutral-atom scattering factors, no anomalous dispersion.

Top 10 peaks for 2θ = 10–80°, sorted by position:
two_theta  d/Å  I_rel
11.46  7.718  21
29.67  3.011  100
31.91  2.804  10
37.28  2.412  15
40.32  2.237  28
44.52  2.035  38
50.50  1.807  10
54.42  1.686  18
57.76  1.596  9
72.85  1.298  15

Structural model:
```
16
Lattice="4.070 2.350 7.718 -4.070 2.350 7.718 0.000 -4.700 7.718" Properties=species:S:1:pos:R:3 pbc="T T T"
Pm -2.051 -1.184 13.079
Pm 0.000 0.000 5.330
Pm 0.000 -2.368 10.076
Pm -2.051 1.184 10.076
Pm 2.051 -1.184 13.079
Pm 0.000 2.368 13.079
Pm 0.000 0.000 17.825
Pm 2.051 1.184 10.076
Ni -4.070 0.000 11.578
Ni -2.035 1.175 3.859
Ni 2.035 1.175 3.859
Ir 0.000 0.000 11.578
Br 0.000 0.000 0.000
Br -2.035 -1.175 7.718
Br -2.035 1.175 15.437
Br 0.000 2.350 7.718
```

No. 4
Diffraction record for SrEuNiAu. The X-ray powder pattern is simulated, not measured: it uses a DFT-relaxed cell (PBE, Alexandria) and a wavelength of 1.5418 Å.
Neutral-atom scattering factors, no anomalous dispersion.

Top 9 peaks for 2θ = 10–80°, sorted by position:
two_theta  d/Å  I_rel
20.83  4.265  19
34.33  2.612  100
40.50  2.227  11
49.34  1.847  18
54.11  1.695  5
61.49  1.508  37
65.67  1.422  4
72.36  1.306  11
76.25  1.249  4

Structural model:
```
16
Lattice="7.388 0.000 0.000 0.000 7.388 0.000 0.000 0.000 7.388" Properties=species:S:1:pos:R:3 pbc="T T T"
Sr 0.000 0.000 0.000
Sr 0.000 3.694 3.694
Sr 3.694 0.000 3.694
Sr 3.694 3.694 0.000
Eu 0.000 0.000 3.694
Eu 0.000 3.694 0.000
Eu 3.694 0.000 0.000
Eu 3.694 3.694 3.694
Ni 1.847 1.847 1.847
Ni 1.847 5.541 5.541
Ni 5.541 1.847 5.541
Ni 5.541 5.541 1.847
Au 1.847 1.847 5.541
Au 1.847 5.541 1.847
Au 5.541 1.847 1.847
Au 5.541 5.541 5.541
```

No. 5
Diffraction record for LaH8Pd4Pt. The X-ray powder pattern is simulated, not measured: it uses a DFT-relaxed cell (PBE, Alexandria) and a wavelength of 1.5418 Å.
Neutral-atom scattering factors, no anomalous dispersion.

Top 10 peaks for 2θ = 10–80°, sorted by position:
two_theta  d/Å  I_rel
18.62  4.767  16
30.67  2.915  31
35.82  2.507  40
36.03  2.493  100
37.37  2.407  15
37.75  2.383  41
57.92  1.592  21
58.05  1.589  21
63.34  1.468  20
63.86  1.458  20

Structural model:
```
14
Lattice="2.915 1.683 4.813 -2.915 1.683 4.813 0.000 -3.366 4.813" Properties=species:S:1:pos:R:3 pbc="T T T"
La 0.000 0.000 0.000
H -1.337 -0.772 6.560
H 0.000 0.000 2.286
H 0.000 -1.172 4.090
H -1.015 0.586 4.090
H 1.015 0.586 4.090
H 1.337 -0.772 6.560
H 0.000 1.543 6.560
H 0.000 0.000 8.851
Pd 0.000 -1.651 7.796
Pd -1.430 0.826 7.796
Pd 0.000 0.000 10.792
Pd 1.430 0.826 7.796
Pt 0.000 0.000 5.438
```

No. 6
Diffraction record for Rb4Sn3Cl10. The X-ray powder pattern is simulated, not measured: it uses a DFT-relaxed cell (PBE, Alexandria) and a wavelength of 1.5418 Å.
Neutral-atom scattering factors, no anomalous dispersion.

Top 10 peaks for 2θ = 10–80°, sorted by position:
two_theta  d/Å  I_rel
13.64  6.493  15
22.46  3.958  100
31.90  2.806  50
32.17  2.783  19
33.91  2.643  14
39.39  2.288  28
45.74  1.984  18
45.93  1.976  26
51.52  1.774  16
57.01  1.616  15

Structural model:
```
17
Lattice="-2.806 2.806 19.478 2.806 -2.806 19.478 2.806 2.806 -19.478" Properties=species:S:1:pos:R:3 pbc="T T T"
Rb 0.000 0.000 2.620
Rb 0.000 0.000 7.807
Rb 0.000 0.000 31.150
Rb 0.000 0.000 36.337
Sn 0.000 0.000 13.770
Sn 0.000 0.000 19.478
Sn 0.000 0.000 25.187
Cl 2.806 0.000 0.000
Cl 2.806 0.000 5.660
Cl 0.000 0.000 11.058
Cl 2.806 0.000 13.818
Cl 0.000 0.000 16.689
Cl 0.000 2.806 0.000
Cl 0.000 0.000 22.268
Cl 0.000 2.806 5.660
Cl 0.000 0.000 27.898
Cl 0.000 2.806 13.818
```